Diffraction record for RbLiBi2Mo4O16. The PXRD pattern is theoretical, not measured: it uses DFT lattice parameters and positions (GGA+U) and λ = 1.5418 Å (Cu Kα).

The 8 most intense peaks (10° ≤ 2θ ≤ 90°), sorted by position:
2θ = 24.81°, 3.589 Å, I 59, hkl 1 1 -4; 2θ = 25.90°, 3.440 Å, I 58, hkl 1 1 4; 2θ = 26.23°, 3.398 Å, I 90, hkl 1 3 0; 2θ = 27.50°, 3.243 Å, I 81, hkl 1 3 -2; 2θ = 28.01°, 3.186 Å, I 61, hkl 1 3 2; 2θ = 28.16°, 3.168 Å, I 100, hkl 1 1 -5; 2θ = 29.38°, 3.040 Å, I 82, hkl 1 1 5; 2θ = 33.36°, 2.686 Å, I 57, hkl 2 0 0

Cell and atoms:
Cell lengths 5.377, 13.156, 19.868 Å; angles 90.00, 92.63, 90.00 degrees
Space group C2/c (No. 15)
Unique sites:
Rb: 0.000 0.031 0.250 (multiplicity 4)
Li: 0.000 0.314 0.250 (multiplicity 4)
Bi: 0.004 0.148 0.036 (multiplicity 8)
Mo: 0.008 0.257 0.649 (multiplicity 8)
Mo: 0.018 0.438 0.093 (multiplicity 8)
O: 0.106 0.408 0.329 (multiplicity 8)
O: 0.129 0.143 0.826 (multiplicity 8)
O: 0.156 0.330 0.044 (multiplicity 8)
O: 0.174 0.242 0.569 (multiplicity 8)
O: 0.229 0.293 0.714 (multiplicity 8)
O: 0.231 0.458 0.604 (multiplicity 8)
O: 0.247 0.349 0.865 (multiplicity 8)
O: 0.248 0.481 0.461 (multiplicity 8)


Diffraction record for Al4Co3O12. The PXRD pattern is theoretical, not measured: it uses DFT lattice parameters and positions (GGA+U) and λ = 1.5418 Å (Cu Kα).

The 8 most intense peaks (10° ≤ 2θ ≤ 90°), sorted by position:
2θ = 18.93°, 4.688 Å, I 70, hkl 1 1 1; 2θ = 21.94°, 4.052 Å, I 42, hkl 1 1 -2; 2θ = 31.10°, 2.875 Å, I 99, hkl 3 1 0; 2θ = 36.67°, 2.451 Å, I 90, hkl 4 0 -1; 2θ = 36.82°, 2.441 Å, I 100, hkl 0 2 3; 2θ = 37.07°, 2.425 Å, I 41, hkl 1 1 5; 2θ = 64.86°, 1.438 Å, I 69, hkl 0 4 0; 2θ = 65.37°, 1.428 Å, I 44, hkl 2 2 -8

Cell and atoms:
Cell lengths 9.962, 5.750, 13.909 Å; angles 90.00, 90.34, 90.00 degrees
Space group Cm (No. 8)
Unique sites:
Al: 0.000 0.000 0.000 (multiplicity 2)
Al: 0.001 0.500 0.501 (multiplicity 2)
Al: 0.082 0.252 0.832 (multiplicity 4)
Al: 0.250 0.251 0.500 (multiplicity 4)
Al: 0.419 0.246 0.170 (multiplicity 4)
Co: 0.163 0.500 0.041 (multiplicity 2)
Co: 0.168 0.500 0.285 (multiplicity 2)
Co: 0.169 0.500 0.662 (multiplicity 2)
Co: 0.325 0.000 0.708 (multiplicity 2)
Co: 0.336 0.000 0.962 (multiplicity 2)
Co: 0.498 0.500 0.382 (multiplicity 2)
O: 0.012 0.000 0.764 (multiplicity 2)
O: 0.012 0.500 0.754 (multiplicity 2)
O: 0.067 0.243 0.081 (multiplicity 4)
O: 0.096 0.286 0.577 (multiplicity 4)
O: 0.153 0.500 0.910 (multiplicity 2)
O: 0.154 0.000 0.916 (multiplicity 2)
O: 0.166 0.500 0.420 (multiplicity 2)
O: 0.169 0.000 0.429 (multiplicity 2)
O: 0.229 0.256 0.746 (multiplicity 4)
O: 0.256 0.268 0.245 (multiplicity 4)
O: 0.312 0.500 0.576 (multiplicity 2)
O: 0.334 0.000 0.569 (multiplicity 2)
O: 0.343 0.000 0.095 (multiplicity 2)
O: 0.351 0.500 0.087 (multiplicity 2)
O: 0.416 0.244 0.430 (multiplicity 4)
O: 0.433 0.256 0.920 (multiplicity 4)
O: 0.485 0.500 0.248 (multiplicity 2)
O: 0.495 0.000 0.241 (multiplicity 2)